Theoretical powder diffraction line list
Compound: Sm8NiHg2
Radiation: λ = 1.5418 Å (Cu Kα)
Structure: a cell relaxed with PBE
Intensities are scaled so that the largest is 100.

Top 10 peaks for 2θ = 10–90°, by angle:
| Position (°2θ) | I (rel.) |
| --- | --- |
| 27.72 | 26 |
| 29.93 | 35 |
| 30.46 | 100 |
| 30.98 | 60 |
| 31.21 | 21 |
| 32.63 | 94 |
| 34.28 | 77 |
| 37.15 | 30 |
| 39.48 | 30 |
| 62.68 | 25 |

Atomic structure:
```
data_Sm8NiHg2
_chemical_formula_sum 'Sm8 Ni1 Hg2'
_symmetry_space_group_name_H-M 'P 1'
_symmetry_Int_Tables_number 1
_cell_length_a 9.403
_cell_length_b 9.403
_cell_length_c 6.921
_cell_angle_alpha 100.72
_cell_angle_beta 100.72
_cell_angle_gamma 32.30
loop_
_symmetry_equiv_pos_as_xyz
'x,y,z'
loop_
_atom_site_label
_atom_site_type_symbol
_atom_site_fract_x
_atom_site_fract_y
_atom_site_fract_z
Sm1 Sm 0.020 0.020 0.275
Sm2 Sm 0.203 0.203 0.812
Sm3 Sm 0.351 0.351 0.532
Sm4 Sm 0.411 0.411 0.054
Sm5 Sm 0.589 0.589 0.946
Sm6 Sm 0.649 0.649 0.468
Sm7 Sm 0.797 0.797 0.188
Sm8 Sm 0.980 0.980 0.725
Ni1 Ni 0.500 0.500 0.500
Hg1 Hg 0.191 0.191 0.245
Hg2 Hg 0.809 0.809 0.755
```